Calculated X-ray powder pattern
Compound: TbPm2Fe9
Radiation: Cu Ka
Structure: the PBE geometry in Alexandria

Peak list (10 most intense, 5 to 70 degrees two-theta, sorted by position)
| 2θ (°) | I_rel | h k l |
| --- | --- | --- |
| 32.36 | 51 | 1 0 7 |
| 34.87 | 54 | 1 1 0 |
| 35.36 | 37 | 0 1 8 |
| 40.66 | 39 | 0 2 1 |
| 41.38 | 100 | 1 1 6 |
| 43.98 | 12 | 0 0 12 |
| 60.95 | 16 | 2 1 7 |
| 62.85 | 14 | 1 2 8 |
| 66.98 | 23 | 0 3 6 |
| 67.74 | 15 | 2 0 14 |

Cell and atoms:
```
data_TbPm2Fe9
_cell_length_a 5.1453
_cell_length_b 5.1453
_cell_length_c 24.7077
_cell_angle_alpha 90.00
_cell_angle_beta 90.00
_cell_angle_gamma 120.00
_symmetry_space_group_name_H-M 'R -3 m'
_symmetry_Int_Tables_number 166
_symmetry_space_group_name_Hall '-R 3 2"'
loop_
_atom_site_label
_atom_site_type_symbol
_atom_site_fract_x
_atom_site_fract_y
_atom_site_fract_z
Tb1 Tb 0.0000 0.0000 0.0000
Pm1 Pm 0.0000 0.0000 0.1415
Fe1 Fe 0.0000 0.0000 0.3328
Fe2 Fe 0.0000 0.0000 0.5000
Fe3 Fe 0.0031 0.5016 0.0797
```